Theoretical powder diffraction line list of Ho3Cd2In3 for a wavelength of 1.5418 Å, from a cell relaxed with PBE.
Neutral-atom scattering factors, no anomalous dispersion.

Peak list (10 most intense, 2θ from 15° to 90°, in order of rising 2θ)
- 30.80 deg, intensity 25, hkl 1 3 1
- 30.96 deg, intensity 83, hkl 1 1 4
- 32.03 deg, intensity 21, hkl 0 4 1
- 33.06 deg, intensity 13, hkl 0 2 5
- 35.01 deg, intensity 100, hkl 1 3 3
- 38.09 deg, intensity 42, hkl 2 0 0
- 38.39 deg, intensity 20, hkl 1 3 4
- 52.61 deg, intensity 24, hkl 0 4 7
- 64.42 deg, intensity 13, hkl 3 1 4
- 66.76 deg, intensity 13, hkl 2 4 7

Crystal structure
Lattice parameters (Å, degrees): 4.7245 11.3662 15.4133 90.00 90.00 90.00
Space group Cmcm (No. 63)
Unique sites:
Ho: 0.0000 0.0764 0.1134 (multiplicity 8)
Ho: 0.0000 0.3392 0.2500 (multiplicity 4)
Cd: 0.0000 0.2172 0.6049 (multiplicity 8)
In: 0.0000 0.3796 0.7500 (multiplicity 4)
In: 0.0000 0.3902 0.0448 (multiplicity 8)

***

Theoretical powder diffraction line list of Ho6Cd2In for a wavelength of 1.5418 Å, from a cell relaxed with PBE.
Neutral-atom scattering factors, no anomalous dispersion.

Peak list (10 most intense, 2θ from 15° to 90°, in order of rising 2θ)
- 32.26 deg, intensity 100, hkl 1 3 3
- 36.00 deg, intensity 38, hkl 2 0 0
- 40.12 deg, intensity 13, hkl 0 6 0
- 51.83 deg, intensity 13, hkl 2 0 6
- 54.99 deg, intensity 20, hkl 2 6 0
- 62.37 deg, intensity 30, hkl 3 3 3
- 67.50 deg, intensity 11, hkl 2 6 6
- 67.97 deg, intensity 10, hkl 1 9 3
- 85.31 deg, intensity 6, hkl 3 3 9
- 87.42 deg, intensity 6, hkl 4 0 6

Crystal structure
Lattice parameters (Å, degrees): 4.9872 13.4846 14.9749 90.00 90.00 90.00
Space group Fmmm (No. 69)
Unique sites:
Ho: 0.0000 0.1574 0.0000 (multiplicity 8)
Ho: 0.0000 0.1577 0.3330 (multiplicity 16)
Cd: 0.0000 0.0000 0.1664 (multiplicity 8)
In: 0.0000 0.0000 0.5000 (multiplicity 4)

***

Theoretical powder diffraction line list of Ho2Cd6In5 for a wavelength of 1.5418 Å, from a cell relaxed with PBE.
Neutral-atom scattering factors, no anomalous dispersion.

Peak list (10 most intense, 2θ from 15° to 90°, in order of rising 2θ)
- 19.96 deg, intensity 52, hkl 1 1 0
- 23.55 deg, intensity 18, hkl 1 1 3
- 31.44 deg, intensity 40, hkl 1 0 7
- 34.93 deg, intensity 100, hkl 3 0 0
- 37.20 deg, intensity 38, hkl 3 0 3
- 37.52 deg, intensity 29, hkl 0 2 7
- 42.86 deg, intensity 37, hkl 2 1 7
- 43.39 deg, intensity 19, hkl 3 0 6
- 52.20 deg, intensity 17, hkl 1 3 7
- 62.65 deg, intensity 18, hkl 3 3 0

Crystal structure
Lattice parameters (Å, degrees): 8.8970 8.8970 21.4326 90.00 90.00 120.00
Space group R-3m (No. 166, hexagonal axes)
Unique sites:
Ho: 0.0000 0.0000 0.1404 (multiplicity 6)
Cd: 0.0000 0.3239 0.5000 (multiplicity 18)
In: 0.0000 0.0000 0.0000 (multiplicity 3)
In: 0.0000 0.0000 0.2811 (multiplicity 6)
In: 0.0000 0.0000 0.4237 (multiplicity 6)

***

Theoretical powder diffraction line list of Ho3CdIn for a wavelength of 1.5418 Å, from a cell relaxed with PBE.
Neutral-atom scattering factors, no anomalous dispersion.

Peak list (10 most intense, 2θ from 15° to 90°, in order of rising 2θ)
- 32.70 deg, intensity 100, hkl 1 5 1
- 35.21 deg, intensity 43, hkl 2 0 0
- 42.95 deg, intensity 10, hkl 0 10 0
- 50.65 deg, intensity 15, hkl 2 0 2
- 56.70 deg, intensity 18, hkl 2 10 0
- 61.60 deg, intensity 32, hkl 3 5 1
- 68.52 deg, intensity 10, hkl 2 10 2
- 72.21 deg, intensity 7, hkl 1 15 1
- 83.70 deg, intensity 7, hkl 3 5 3
- 85.11 deg, intensity 7, hkl 4 0 2

Crystal structure
Lattice parameters (Å, degrees): 5.0990 21.0598 5.0968 90.00 90.00 90.00
Space group Cmcm (No. 63)
Unique sites:
Ho: 0.0000 0.0582 0.2500 (multiplicity 4)
Ho: 0.0000 0.2501 0.2500 (multiplicity 4)
Ho: 0.0000 0.4412 0.2500 (multiplicity 4)
Cd: 0.0000 0.1540 0.7500 (multiplicity 4)
In: 0.0000 0.3443 0.7500 (multiplicity 4)

***

Theoretical powder diffraction line list of Ho3CdIn3 for a wavelength of 1.5418 Å, from a cell relaxed with PBE.
Neutral-atom scattering factors, no anomalous dispersion.

Peak list (10 most intense, 2θ from 15° to 90°, in order of rising 2θ)
- 29.87 deg, intensity 50, hkl 1 1 3
- 30.33 deg, intensity 24, hkl 3 1 -1
- 30.76 deg, intensity 100, hkl 1 1 -4
- 31.62 deg, intensity 42, hkl 4 0 -2
- 35.24 deg, intensity 37, hkl 3 1 -4
- 36.79 deg, intensity 88, hkl 3 1 2
- 38.21 deg, intensity 56, hkl 0 2 0
- 38.45 deg, intensity 28, hkl 0 0 6
- 50.41 deg, intensity 23, hkl 4 2 -2
- 68.12 deg, intensity 23, hkl 3 3 2

Crystal structure
Lattice parameters (Å, degrees): 11.3515 4.7107 14.7744 90.00 108.20 90.00
Space group C2/m (No. 12)
Unique sites:
Ho: 0.0343 0.0000 0.3805 (multiplicity 4)
Ho: 0.0995 0.0000 0.9209 (multiplicity 4)
Ho: 0.2288 0.0000 0.2170 (multiplicity 4)
Cd: 0.2382 0.5000 0.3856 (multiplicity 4)
In: 0.0123 0.5000 0.2298 (multiplicity 4)
In: 0.1209 0.5000 0.0723 (multiplicity 4)
In: 0.1293 0.5000 0.5521 (multiplicity 4)

***

Theoretical powder diffraction line list of Ho5CdIn for a wavelength of 1.5418 Å, from a cell relaxed with PBE.
Neutral-atom scattering factors, no anomalous dispersion.

Peak list (10 most intense, 2θ from 15° to 90°, in order of rising 2θ)
- 29.95 deg, intensity 54, hkl 2 2 0
- 30.84 deg, intensity 100, hkl 1 1 3
- 32.50 deg, intensity 70, hkl 2 2 1
- 32.82 deg, intensity 37, hkl 1 3 -1
- 33.58 deg, intensity 75, hkl 3 1 -1
- 34.37 deg, intensity 75, hkl 2 0 -4
- 35.14 deg, intensity 88, hkl 1 3 -2
- 38.55 deg, intensity 19, hkl 0 2 4
- 39.14 deg, intensity 19, hkl 1 3 -3
- 46.04 deg, intensity 19, hkl 0 2 5

Crystal structure
Lattice parameters (Å, degrees): 8.4025 8.7855 11.4015 90.00 104.65 90.00
Space group C2/c (No. 15)
Unique sites:
Ho: 0.0000 0.1151 0.2500 (multiplicity 4)
Ho: 0.1168 0.3559 0.5349 (multiplicity 8)
Ho: 0.2069 0.2170 0.8454 (multiplicity 8)
Cd: 0.0000 0.0000 0.0000 (multiplicity 4)
In: 0.0000 0.4716 0.2500 (multiplicity 4)

***

Copy entry 3 word for word.
Theoretical powder diffraction line list of Ho2Cd6In5 for a wavelength of 1.5418 Å, from a cell relaxed with PBE.
Neutral-atom scattering factors, no anomalous dispersion.

Peak list (10 most intense, 2θ from 15° to 90°, in order of rising 2θ)
- 19.96 deg, intensity 52, hkl 1 1 0
- 23.55 deg, intensity 18, hkl 1 1 3
- 31.44 deg, intensity 40, hkl 1 0 7
- 34.93 deg, intensity 100, hkl 3 0 0
- 37.20 deg, intensity 38, hkl 3 0 3
- 37.52 deg, intensity 29, hkl 0 2 7
- 42.86 deg, intensity 37, hkl 2 1 7
- 43.39 deg, intensity 19, hkl 3 0 6
- 52.20 deg, intensity 17, hkl 1 3 7
- 62.65 deg, intensity 18, hkl 3 3 0

Crystal structure
Lattice parameters (Å, degrees): 8.8970 8.8970 21.4326 90.00 90.00 120.00
Space group R-3m (No. 166, hexagonal axes)
Unique sites:
Ho: 0.0000 0.0000 0.1404 (multiplicity 6)
Cd: 0.0000 0.3239 0.5000 (multiplicity 18)
In: 0.0000 0.0000 0.0000 (multiplicity 3)
In: 0.0000 0.0000 0.2811 (multiplicity 6)
In: 0.0000 0.0000 0.4237 (multiplicity 6)

***

Q: Which formula does entry 3 have?
A: Ho2Cd6In5